Entry 1:
For Ta6Pt3N2, the GGA-PBE geometry in Alexandria gives the computed X-ray diffraction stick pattern in this record (Cu Kα, 1.54184 Å).

```
Ta6Pt3N2
1.0
1.4943 0.8628 21.3917
-1.4943 0.8628 21.3917
0.0000 -1.7255 21.3917
Ta Pt N
6 3 2
Cartesian
0.0000 0.0000 6.8450
0.0000 0.0000 11.8968
0.0000 0.0000 23.6737
0.0000 0.0000 40.5013
0.0000 0.0000 52.2782
0.0000 0.0000 57.3300
0.0000 0.0000 0.0000
0.0000 0.0000 16.8409
0.0000 0.0000 47.3341
0.0000 0.0000 29.5797
0.0000 0.0000 34.5953
```

Largest 6 diffraction maxima, by angle, 2θ from 10° to 90°:
Position (°2θ), d [Å], I (rel.)
37.85, 2.377, 39
38.03, 2.366, 100
41.52, 2.175, 30
44.08, 2.054, 31
62.11, 1.494, 38
75.09, 1.265, 33

***

Entry 2:
For Sm2Mg3Hg, the GGA-PBE geometry in Alexandria gives the computed X-ray diffraction stick pattern in this record (Cu Kα, 1.54184 Å).

```
Sm2Mg3Hg
1.0
10.2889 0.0000 0.0000
-5.1445 8.9105 0.0000
0.0000 0.0000 3.4046
Sm Mg Hg
4 6 2
Cartesian
0.0000 0.0000 0.0000
-2.5722 4.4552 0.0000
5.1445 0.0000 0.0000
2.5722 4.4552 0.0000
0.0000 2.9966 1.7023
-2.5493 7.4122 1.7023
2.5951 1.4983 1.7023
2.5493 7.4122 1.7023
7.6938 1.4983 1.7023
5.1444 5.9139 1.7023
0.0000 5.9403 1.7023
5.1445 2.9701 1.7023
```

Largest 6 diffraction maxima, by angle, 2θ from 10° to 90°:
Position (°2θ), d [Å], I (rel.)
17.24, 5.144, 37
19.93, 4.455, 24
33.12, 2.705, 100
34.88, 2.572, 76
48.86, 1.864, 34
61.43, 1.509, 34

***

Entry 3:
For Li2LaAg8, the GGA-PBE geometry in Alexandria gives the computed X-ray diffraction stick pattern in this record (Cu Kα, 1.54184 Å).

```
Li2LaAg8
1.0
5.4819 0.0000 0.0000
0.0000 5.4819 0.0000
0.0000 0.0000 8.8825
Li La Ag
2 1 8
Cartesian
0.0000 2.7409 0.0000
2.7409 0.0000 0.0000
0.0000 0.0000 4.4412
1.3842 1.3842 1.9687
1.3842 1.3842 6.9137
1.3842 4.0976 1.9687
1.3842 4.0976 6.9137
4.0976 1.3842 1.9687
4.0976 1.3842 6.9137
4.0976 4.0976 1.9687
4.0976 4.0976 6.9137
```

Largest 6 diffraction maxima, by angle, 2θ from 10° to 90°:
Position (°2θ), d [Å], I (rel.)
19.99, 4.441, 68
32.67, 2.741, 46
38.60, 2.332, 100
46.88, 1.938, 31
51.44, 1.776, 24
81.45, 1.182, 21

***

Entry 4:
For PuPd6Pt, the GGA-PBE geometry in Alexandria gives the computed X-ray diffraction stick pattern in this record (Cu Kα, 1.54184 Å).

```
PuPd6Pt
1.0
5.6947 0.0000 0.0000
0.0000 5.6947 0.0000
0.0000 0.0000 4.0816
Pu Pd Pt
1 6 1
Cartesian
0.0000 0.0000 0.0000
0.0000 2.8474 0.0000
1.4435 1.4435 2.0408
1.4435 4.2512 2.0408
2.8474 0.0000 0.0000
4.2512 1.4435 2.0408
4.2512 4.2512 2.0408
2.8474 2.8474 0.0000
```

Largest 6 diffraction maxima, by angle, 2θ from 10° to 90°:
Position (°2θ), d [Å], I (rel.)
38.55, 2.335, 100
44.39, 2.041, 17
45.03, 2.013, 32
65.08, 1.433, 21
77.80, 1.228, 13
78.72, 1.216, 25

***

Entry 5:
For Na2AlBi2, the GGA-PBE geometry in Alexandria gives the computed X-ray diffraction stick pattern in this record (Cu Kα, 1.54184 Å).

```
Na2AlBi2
1.0
-3.8064 6.4417 3.1767
3.8064 -6.4417 3.1767
3.8064 6.4417 -3.1767
Na Al Bi
4 2 4
Cartesian
1.1295 1.4963 0.0000
1.1295 -1.4963 3.1767
2.6769 7.9380 0.0000
2.6769 4.9454 3.1767
3.8064 0.0000 1.5884
0.0000 6.4417 1.5884
5.4043 1.7158 0.0000
1.5978 4.7259 0.0000
2.2086 1.7158 3.1767
-1.5978 4.7259 3.1767
```

Largest 6 diffraction maxima, by angle, 2θ from 10° to 90°:
Position (°2θ), d [Å], I (rel.)
22.87, 3.889, 100
23.37, 3.806, 22
27.70, 3.221, 22
28.09, 3.177, 23
39.86, 2.262, 22
46.71, 1.945, 30

***

Entry 6:
For Hf3Cd2Hg2, the GGA-PBE geometry in Alexandria gives the computed X-ray diffraction stick pattern in this record (Cu Kα, 1.54184 Å).

```
Hf3Cd2Hg2
1.0
1.5709 -15.6822 0.0000
1.5709 15.6822 0.0000
0.0000 0.0000 3.1931
Hf Cd Hg
3 2 2
Cartesian
0.0000 0.0000 0.0000
1.5709 2.1739 1.5965
1.5709 -2.1739 1.5965
1.5709 6.5641 1.5965
1.5709 -6.5641 1.5965
1.5709 11.3477 0.0000
1.5709 -11.3477 0.0000
```

Largest 6 diffraction maxima, by angle, 2θ from 10° to 90°:
Position (°2θ), d [Å], I (rel.)
32.87, 2.725, 41
34.88, 2.572, 100
36.28, 2.476, 59
40.26, 2.240, 33
40.38, 2.234, 68
60.58, 1.528, 34

***

Entry 7:
For P6Se7, the GGA-PBE geometry in Alexandria gives the computed X-ray diffraction stick pattern in this record (Cu Kα, 1.54184 Å).

```
P6Se7
1.0
3.4915 2.0158 7.3097
-3.4915 2.0158 7.3097
0.0000 -4.0317 7.3097
P Se
6 7
Cartesian
0.0000 0.0000 2.0955
0.0000 0.0000 4.1057
0.0000 0.0000 7.0360
0.0000 0.0000 14.8930
0.0000 0.0000 17.8233
0.0000 0.0000 19.8335
-1.7966 -1.0373 9.0443
0.0000 -2.0745 12.8847
-1.7966 1.0373 12.8847
0.0000 0.0000 10.9645
1.7966 -1.0373 9.0443
0.0000 2.0745 9.0443
1.7966 1.0373 12.8847
```

Largest 6 diffraction maxima, by angle, 2θ from 10° to 90°:
Position (°2θ), d [Å], I (rel.)
15.20, 5.830, 84
29.83, 2.995, 97
35.56, 2.525, 62
36.08, 2.489, 100
41.51, 2.176, 87
52.41, 1.746, 69

***

Entry 8:
For CaLa8Tb4, the GGA-PBE geometry in Alexandria gives the computed X-ray diffraction stick pattern in this record (Cu Kα, 1.54184 Å).

```
CaLa8Tb4
1.0
3.6547 2.1100 10.1196
-3.6547 2.1100 10.1196
0.0000 -4.2201 10.1196
Ca La Tb
1 8 4
Cartesian
0.0000 0.0000 0.0000
0.0000 -1.8820 12.3192
-1.6299 0.9410 12.3192
0.0000 0.0000 8.7596
-1.6299 -0.9410 18.0397
1.6299 0.9410 12.3192
0.0000 0.0000 21.5993
1.6299 -0.9410 18.0397
0.0000 1.8820 18.0397
-3.6547 0.0000 15.1795
-1.8273 1.0550 5.0598
1.8273 1.0550 5.0598
0.0000 0.0000 15.1795
```

Largest 6 diffraction maxima, by angle, 2θ from 10° to 90°:
Position (°2θ), d [Å], I (rel.)
26.42, 3.373, 32
30.60, 2.921, 100
31.89, 2.807, 44
36.98, 2.431, 37
49.91, 1.827, 28
57.35, 1.607, 26